Ac8HIr3Cl4: simulated powder diffractogram (copper Kα), based on a PBE-relaxed structure.

Cell and atoms:
```
data_Ac8HIr3Cl4
_chemical_formula_sum 'Ac24 H3 Ir9 Cl12'
_cell_length_a 8.6204
_cell_length_b 8.6204
_cell_length_c 23.9426
_cell_angle_alpha 90.00
_cell_angle_beta 90.00
_cell_angle_gamma 120.00
_symmetry_space_group_name_H-M 'R -3 m'
_symmetry_Int_Tables_number 166
_symmetry_space_group_name_Hall '-R 3 2"'
loop_
_atom_site_label
_atom_site_type_symbol
_atom_site_fract_x
_atom_site_fract_y
_atom_site_fract_z
Ac1 Ac 0.0000 0.0000 0.2339
Ac2 Ac 0.0032 0.5016 0.7661
H1 H 0.0000 0.0000 0.5000
Ir1 Ir 0.0000 0.5000 0.5000
Cl1 Cl 0.0000 0.0000 0.0000
Cl2 Cl 0.0000 0.5000 0.0000
```

Most intense lines, 2θ = 10–90°, by angle:
d = 7.981 Å, 2θ = 11.1°, I 44; d = 3.564 Å, 2θ = 25.0°, I 25; d = 3.167 Å, 2θ = 28.2°, I 100; d = 2.522 Å, 2θ = 35.6°, I 25; d = 2.335 Å, 2θ = 38.6°, I 30; d = 2.155 Å, 2θ = 41.9°, I 39; d = 1.880 Å, 2θ = 48.4°, I 17; d = 1.782 Å, 2θ = 51.3°, I 19; d = 1.373 Å, 2θ = 68.3°, I 17; d = 1.283 Å, 2θ = 73.9°, I 12